Structure and calculated X-ray diffraction stick pattern of LaV2PdO8 (a cell relaxed with PBE+U; copper Kα).
Kinematic intensities with the Lorentz-polarization factor, no thermal factor.

Cell and atoms:
```
LaV2PdO8
1.0
5.6396 0.0000 0.0000
-2.8198 4.8840 0.0000
0.0000 0.0000 6.7192
La V Pd O
1 2 1 8
direct
0.0000 0.0000 0.0000
0.3333 0.6667 0.2291
0.6667 0.3333 0.7709
0.0000 0.0000 0.5000
0.1582 0.3164 0.2931
0.1582 0.8418 0.2931
0.3164 0.1582 0.7069
0.3333 0.6667 0.9794
0.6667 0.3333 0.0206
0.6836 0.8418 0.2931
0.8418 0.1582 0.7069
0.8418 0.6836 0.7069
```

The 10 most intense peaks (15 to 90 degrees two-theta), in order of rising 2θ:
Position (°2θ)	Rel. int.	index
18.16	100	1 0 0
22.51	37	1 0 1
31.73	76	1 1 0
32.34	79	0 1 2
41.82	25	1 1 2
45.94	46	2 0 2
56.92	35	1 2 2
64.58	18	1 1 4
66.29	14	2 2 0
75.71	14	3 1 2